Diffraction record for Pm15Dy4Th. The PXRD pattern is calculated, not measured: it uses DFT lattice parameters and positions (PBE) and CuKα.

The 10 most intense peaks (2θ = 10–90°), in order of rising 2θ:
2θ 30.17, d 2.962, rel. 100, (1 1 5)
2θ 34.97, d 2.565, rel. 51, (2 0 0)
2θ 50.30, d 1.814, rel. 36, (2 2 0)
2θ 59.78, d 1.547, rel. 43, (3 1 5)
2θ 62.73, d 1.481, rel. 12, (2 2 10)
2θ 81.77, d 1.178, rel. 6, (3 3 5)
2θ 81.86, d 1.177, rel. 12, (3 1 15)
2θ 84.36, d 1.148, rel. 6, (4 2 0)
2θ 84.41, d 1.148, rel. 6, (4 0 10)
2θ 84.53, d 1.146, rel. 5, (2 0 20)

```
data_Pm15Dy4Th
_chemical_formula_sum 'Pm15 Dy4 Th1'
_cell_length_a 5.1344
_cell_length_b 5.1344
_cell_length_c 25.6204
_cell_angle_alpha 90.00
_cell_angle_beta 90.00
_cell_angle_gamma 90.00
_space_group_name_H-M_alt 'P 4/m m m'
_space_group_IT_number 123
_space_group_name_Hall '-P 4 2'
loop_
_atom_site_label
_atom_site_fract_x
_atom_site_fract_y
_atom_site_fract_z
Pm1 0.0000 0.0000 0.0000
Pm2 0.0000 0.0000 0.2017
Pm3 0.0000 0.0000 0.4004
Pm4 0.0000 0.5000 0.0989
Pm5 0.0000 0.5000 0.2999
Pm6 0.0000 0.5000 0.5000
Dy1 0.5000 0.5000 0.2003
Dy2 0.5000 0.5000 0.4001
Th1 0.5000 0.5000 0.0000
```


Diffraction record for Pm2Dy8Th. The PXRD pattern is calculated, not measured: it uses DFT lattice parameters and positions (PBE) and CuKα.

The 10 most intense peaks (2θ = 10–90°), in order of rising 2θ:
2θ 30.69, d 2.913, rel. 100, (1 1 2)
2θ 35.56, d 2.525, rel. 34, (0 2 0)
2θ 35.64, d 2.519, rel. 17, (4 0 -3)
2θ 51.20, d 1.784, rel. 36, (6 2 1)
2θ 60.85, d 1.522, rel. 29, (1 3 2)
2θ 60.96, d 1.520, rel. 14, (9 1 -4)
2θ 63.91, d 1.457, rel. 12, (2 2 4)
2θ 83.49, d 1.158, rel. 15, (9 3 -4)
2θ 86.13, d 1.129, rel. 10, (6 4 1)
2θ 86.27, d 1.127, rel. 6, (8 2 -6)

```
data_Pm2Dy8Th
_chemical_formula_sum 'Pm4 Dy16 Th2'
_cell_length_a 18.1832
_cell_length_b 5.0520
_cell_length_c 7.9701
_cell_angle_alpha 90.00
_cell_angle_beta 105.16
_cell_angle_gamma 90.00
_space_group_name_H-M_alt 'C 1 2/m 1'
_space_group_IT_number 12
loop_
_space_group_symop_operation_xyz
'x,y,z'
'-x,-y,-z'
'-x,y,-z'
'x,-y,z'
'x+1/2,y+1/2,z'
'-x+1/2,-y+1/2,-z'
'-x+1/2,y+1/2,-z'
'x+1/2,-y+1/2,z'
loop_
_atom_site_label
_atom_site_fract_x
_atom_site_fract_y
_atom_site_fract_z
Pm1 0.2280 0.0000 0.1363
Dy1 0.0441 0.0000 0.2321
Dy2 0.0895 0.5000 0.9513
Dy3 0.1345 0.0000 0.6773
Dy4 0.1798 0.5000 0.4072
Th1 0.0000 0.5000 0.5000
```


Diffraction record for PmDy3Th. The PXRD pattern is calculated, not measured: it uses DFT lattice parameters and positions (PBE) and CuKα.

The 10 most intense peaks (2θ = 10–90°), in order of rising 2θ:
2θ 28.44, d 3.138, rel. 24, (1 0 2)
2θ 31.10, d 2.875, rel. 25, (0 2 0)
2θ 32.51, d 2.754, rel. 100, (2 1 -1)
2θ 42.65, d 2.120, rel. 16, (1 2 2)
2θ 50.35, d 1.812, rel. 13, (0 0 5)
2θ 56.23, d 1.636, rel. 21, (2 3 -1)
2θ 60.37, d 1.533, rel. 15, (0 2 5)
2θ 60.44, d 1.532, rel. 7, (3 2 -4)
2θ 61.20, d 1.514, rel. 12, (2 1 4)
2θ 86.40, d 1.126, rel. 9, (0 4 5)

```
data_PmDy3Th
_chemical_formula_sum 'Pm2 Dy6 Th2'
_cell_length_a 6.2667
_cell_length_b 5.7509
_cell_length_c 9.5942
_cell_angle_alpha 90.00
_cell_angle_beta 109.03
_cell_angle_gamma 90.00
_space_group_name_H-M_alt 'P 1 21/m 1'
_space_group_IT_number 11
loop_
_space_group_symop_operation_xyz
'x,y,z'
'-x,-y,-z'
'-x,y+1/2,-z'
'x,-y+1/2,z'
loop_
_atom_site_label
_atom_site_fract_x
_atom_site_fract_y
_atom_site_fract_z
Pm1 0.1346 0.2500 0.1046
Dy1 0.0647 0.7500 0.3059
Dy2 0.2628 0.7500 0.6965
Dy3 0.4712 0.7500 0.1025
Th1 0.3486 0.2500 0.5007
```


Diffraction record for Pm3Dy2Th. The PXRD pattern is calculated, not measured: it uses DFT lattice parameters and positions (PBE) and CuKα.

The 10 most intense peaks (2θ = 10–90°), in order of rising 2θ:
2θ 29.46, d 3.032, rel. 56, (3 1 1)
2θ 30.68, d 2.914, rel. 37, (0 0 4)
2θ 32.39, d 2.764, rel. 100, (0 2 2)
2θ 36.81, d 2.442, rel. 31, (3 1 3)
2θ 48.65, d 1.872, rel. 14, (3 1 5)
2θ 50.34, d 1.813, rel. 28, (3 3 0)
2θ 55.64, d 1.652, rel. 22, (0 2 6)
2θ 60.10, d 1.539, rel. 22, (3 3 4)
2θ 61.14, d 1.516, rel. 16, (6 2 2)
2θ 85.52, d 1.135, rel. 16, (3 3 8)

```
data_Pm3Dy2Th
_chemical_formula_sum 'Pm12 Dy8 Th4'
_cell_length_a 10.8712
_cell_length_b 6.2824
_cell_length_c 11.6552
_cell_angle_alpha 90.00
_cell_angle_beta 90.00
_cell_angle_gamma 90.00
_space_group_name_H-M_alt 'C m c m'
_space_group_IT_number 63
_space_group_name_Hall '-C 2c 2'
loop_
_atom_site_label
_atom_site_fract_x
_atom_site_fract_y
_atom_site_fract_z
Pm1 0.0000 0.0000 0.0000
Pm2 0.1633 0.5000 0.0000
Dy1 0.1660 0.1678 0.2500
Th1 0.0000 0.3332 0.7500
```


Diffraction record for Pm8Dy3Th3. The PXRD pattern is calculated, not measured: it uses DFT lattice parameters and positions (PBE) and CuKα.

The 10 most intense peaks (2θ = 10–90°), in order of rising 2θ:
2θ 28.80, d 3.100, rel. 23, (1 2 3)
2θ 29.29, d 3.050, rel. 29, (1 1 4)
2θ 30.74, d 2.908, rel. 25, (0 3 3)
2θ 31.02, d 2.883, rel. 51, (2 0 0)
2θ 31.88, d 2.807, rel. 100, (1 3 2)
2θ 33.19, d 2.699, rel. 44, (1 0 5)
2θ 44.24, d 2.047, rel. 19, (2 3 3)
2θ 55.73, d 1.649, rel. 21, (3 3 2)
2θ 61.43, d 1.509, rel. 13, (2 6 0)
2θ 62.73, d 1.481, rel. 12, (1 6 5)

```
data_Pm8Dy3Th3
_chemical_formula_sum 'Pm16 Dy6 Th6'
_cell_length_a 5.7654
_cell_length_b 10.6301
_cell_length_c 15.2723
_cell_angle_alpha 90.00
_cell_angle_beta 90.00
_cell_angle_gamma 90.00
_space_group_name_H-M_alt 'I m m m'
_space_group_IT_number 71
_space_group_name_Hall '-I 2 2'
loop_
_atom_site_label
_atom_site_fract_x
_atom_site_fract_y
_atom_site_fract_z
Pm1 0.0000 0.1573 0.2234
Pm2 0.0000 0.3341 0.3972
Dy1 0.0000 0.0000 0.0000
Dy2 0.0000 0.3139 0.0000
Th1 0.0000 0.0000 0.5000
Th2 0.0000 0.5000 0.1833
```


Diffraction record for Pm4Dy2Th3. The PXRD pattern is calculated, not measured: it uses DFT lattice parameters and positions (PBE) and CuKα.

The 10 most intense peaks (2θ = 10–90°), in order of rising 2θ:
2θ 28.78, d 3.102, rel. 49, (1 0 0)
2θ 29.82, d 2.996, rel. 56, (0 0 9)
2θ 31.75, d 2.818, rel. 77, (1 0 4)
2θ 33.32, d 2.689, rel. 100, (0 1 5)
2θ 41.92, d 2.155, rel. 34, (0 1 9)
2θ 50.99, d 1.791, rel. 40, (1 1 0)
2θ 56.21, d 1.636, rel. 29, (1 0 14)
2θ 60.19, d 1.537, rel. 47, (1 1 9)
2θ 62.28, d 1.491, rel. 17, (2 0 5)
2θ 84.27, d 1.149, rel. 16, (1 1 18)

```
data_Pm4Dy2Th3
_chemical_formula_sum 'Pm4 Dy2 Th3'
_cell_length_a 3.5821
_cell_length_b 3.5821
_cell_length_c 26.9679
_cell_angle_alpha 90.00
_cell_angle_beta 90.00
_cell_angle_gamma 120.00
_space_group_name_H-M_alt 'P 3 m 1'
_space_group_IT_number 156
loop_
_space_group_symop_operation_xyz
'x,y,z'
'-y,x-y,z'
'-x+y,-x,z'
'-y,-x,z'
'-x+y,y,z'
'x,x-y,z'
loop_
_atom_site_label
_atom_site_fract_x
_atom_site_fract_y
_atom_site_fract_z
Pm1 0.0000 0.0000 0.0000
Pm2 0.0000 0.0000 0.2179
Pm3 0.3333 0.6667 0.3321
Pm4 0.3333 0.6667 0.5518
Dy1 0.0000 0.0000 0.6608
Dy2 0.0000 0.0000 0.8743
Th1 0.0000 0.0000 0.4415
Th2 0.3333 0.6667 0.1079
Th3 0.3333 0.6667 0.7697
```